Calculated X-ray powder pattern of Ba2YCr2F11 for copper Kα, from a DFT-relaxed cell (PBE+U, the Materials Project).
Kinematic intensities with the Lorentz-polarization factor, no thermal factor.

Cell and atoms:
a = 7.910 Å, b = 7.910 Å, c = 14.140 Å
α = 90.00°, β = 90.00°, γ = 120.00°
Sites, in units of the cell vectors:
Ba: 0.134 0.025 0.000
Ba: 0.515 0.181 0.477
Ba: 0.666 0.485 0.810
Ba: 0.819 0.334 0.144
Ba: 0.890 0.866 0.333
Ba: 0.975 0.110 0.667
Y: 0.186 0.516 0.883
Y: 0.330 0.814 0.216
Y: 0.484 0.670 0.550
Cr: 0.104 0.416 0.390
Cr: 0.312 0.896 0.724
Cr: 0.339 0.311 0.222
Cr: 0.584 0.688 0.057
Cr: 0.689 0.028 0.889
Cr: 0.972 0.661 0.556
F: 0.023 0.768 0.692
F: 0.030 0.335 0.000
F: 0.031 0.743 0.184
F: 0.060 0.935 0.513
F: 0.065 0.125 0.179
F: 0.120 0.750 0.884
F: 0.169 0.498 0.232
F: 0.232 0.255 0.358
F: 0.250 0.370 0.551
F: 0.257 0.287 0.851
F: 0.279 0.620 0.732
F: 0.305 0.970 0.334
F: 0.330 0.831 0.566
F: 0.342 0.721 0.065
F: 0.369 0.164 0.686
F: 0.380 0.658 0.398
F: 0.412 0.404 0.086
F: 0.429 0.090 0.141
F: 0.502 0.670 0.899
F: 0.538 0.160 0.926
F: 0.596 0.007 0.752
F: 0.621 0.462 0.260
F: 0.630 0.880 0.218
F: 0.661 0.571 0.475
F: 0.665 0.695 0.667
F: 0.713 0.969 0.517
F: 0.745 0.977 0.025
F: 0.795 0.631 0.020
F: 0.836 0.205 0.353
F: 0.840 0.379 0.593
F: 0.875 0.940 0.846
F: 0.910 0.339 0.808
F: 0.993 0.588 0.419

Largest 10 diffraction maxima, by intensity, 2θ = 15–90°:
d (Å), I_rel, (hkl)
3.883, 100, 1 0 3
3.329, 93, 0 2 1
3.452, 80, 1 1 2
3.082, 69, 2 0 2
3.141, 52, 0 1 4
2.431, 51, 2 1 2
2.089, 50, 3 -2 4
1.977, 42, 2 2 0
2.229, 41, 0 1 6
2.173, 33, 3 0 2